# 1
Diffraction record for NaVGa2. The X-ray diffraction stick pattern is simulated, not measured: it uses the GGA-PBE geometry in Alexandria and Cu Kα (λ = 1.5418 Å).
Intensities are scaled so that the largest is 100.

Top 10 peaks for 15° ≤ 2θ ≤ 90°, low angle first:
d 4.489, 2θ = 19.78°, intensity 11, (0 0 2); d 2.740, 2θ = 32.68°, intensity 9, (1 0 0); d 2.339, 2θ = 38.49°, intensity 100, (1 0 2); d 2.244, 2θ = 40.18°, intensity 16, (0 0 4); d 2.021, 2θ = 44.85°, intensity 17, (1 0 3); d 1.937, 2θ = 46.89°, intensity 31, (1 1 0); d 1.467, 2θ = 63.42°, intensity 15, (1 1 4); d 1.370, 2θ = 68.49°, intensity 9, (2 0 0); d 1.317, 2θ = 71.66°, intensity 8, (1 1 5); d 1.182, 2θ = 81.41°, intensity 20, (2 1 2)

Crystal structure
a b c (Å): 2.740 2.740 8.978
angles (deg): 90.00 90.00 90.00
Space group P4/mmm (No. 123)
Unique sites:
Na (0.000, 0.000, 0.000) x1
V (0.000, 0.000, 0.500) x1
Ga (0.500, 0.500, 0.282) x2

---

# 2
Diffraction record for NaVGa. The X-ray diffraction stick pattern is simulated, not measured: it uses the GGA-PBE geometry in Alexandria and Cu Kα (λ = 1.5418 Å).
Intensities are scaled so that the largest is 100.

Top 10 peaks for 15° ≤ 2θ ≤ 90°, low angle first:
d 5.767, 2θ = 15.36°, intensity 100, (0 0 2); d 2.884, 2θ = 31.01°, intensity 20, (0 0 4); d 2.779, 2θ = 32.21°, intensity 59, (1 1 3); d 2.514, 2θ = 35.72°, intensity 17, (1 3 1); d 2.371, 2θ = 37.95°, intensity 16, (0 4 0); d 2.193, 2θ = 41.16°, intensity 38, (0 4 2); d 2.011, 2θ = 45.07°, intensity 24, (2 2 0); d 2.001, 2θ = 45.32°, intensity 12, (1 1 5); d 1.899, 2θ = 47.90°, intensity 38, (2 2 2); d 1.718, 2θ = 53.31°, intensity 20, (1 3 5)

Crystal structure
a b c (Å): 4.442 9.485 11.534
angles (deg): 90.00 90.00 90.00
Space group Fmmm (No. 69)
Unique sites:
Na (0.000, 0.149, 0.000) x8
V (0.250, 0.250, 0.250) x8
Ga (0.000, 0.000, 0.306) x8

---

# 3
Diffraction record for Na2Zn6Ga9. The X-ray diffraction stick pattern is simulated, not measured: it uses the GGA-PBE geometry in Alexandria and Cu Kα (λ = 1.5418 Å).
Intensities are scaled so that the largest is 100.

Top 10 peaks for 15° ≤ 2θ ≤ 90°, low angle first:
d 4.875, 2θ = 18.20°, intensity 75, (1 0 0); d 2.438, 2θ = 36.87°, intensity 21, (2 0 0); d 2.340, 2θ = 38.47°, intensity 74, (1 1 3); d 2.108, 2θ = 42.89°, intensity 100, (0 0 6); d 1.933, 2θ = 47.02°, intensity 13, (1 0 6); d 1.593, 2θ = 57.88°, intensity 11, (2 0 6); d 1.516, 2θ = 61.13°, intensity 18, (3 0 3); d 1.407, 2θ = 66.43°, intensity 18, (2 2 0); d 1.216, 2θ = 78.67°, intensity 12, (2 0 9); d 1.170, 2θ = 82.41°, intensity 30, (2 2 6)

Crystal structure
a b c (Å): 5.6293 5.6293 12.6307
angles (deg): 90.00 90.00 120.00
Space group P6/mmm (No. 191)
Unique sites:
Na (0.0000, 0.0000, 0.1726) x2
Zn (0.3333, 0.6667, 0.1675) x4
Zn (0.3333, 0.6667, 0.5000) x2
Ga (0.0000, 0.5000, 0.0000) x3
Ga (0.0000, 0.5000, 0.3349) x6

---

# 4
Diffraction record for Na2ZnGa6. The X-ray diffraction stick pattern is simulated, not measured: it uses the GGA-PBE geometry in Alexandria and Cu Kα (λ = 1.5418 Å).
Intensities are scaled so that the largest is 100.

Top 10 peaks for 15° ≤ 2θ ≤ 90°, low angle first:
d 5.850, 2θ = 15.15°, intensity 16, (0 0 1); d 5.190, 2θ = 17.09°, intensity 18, (1 1 0); d 3.882, 2θ = 22.91°, intensity 25, (2 0 1); d 2.667, 2θ = 33.61°, intensity 28, (0 2 1); d 2.548, 2θ = 35.22°, intensity 26, (2 0 -2); d 2.372, 2θ = 37.93°, intensity 100, (4 0 1); d 1.950, 2θ = 46.58°, intensity 13, (0 0 3); d 1.941, 2θ = 46.80°, intensity 41, (2 2 2); d 1.498, 2θ = 61.94°, intensity 21, (6 2 0); d 1.188, 2θ = 80.92°, intensity 13, (6 2 3)

Crystal structure
a b c (Å): 10.370 5.998 5.850
angles (deg): 90.00 90.02 90.00
Space group C2/m (No. 12)
Unique sites:
Na (0.166, 0.000, 0.140) x4
Zn (0.000, 0.500, 0.000) x2
Ga (0.089, 0.234, 0.664) x8
Ga (0.177, 0.500, 0.335) x4

---

# 5
Diffraction record for Na3Zn8Ga. The X-ray diffraction stick pattern is simulated, not measured: it uses the GGA-PBE geometry in Alexandria and Cu Kα (λ = 1.5418 Å).
Intensities are scaled so that the largest is 100.

Top 10 peaks for 15° ≤ 2θ ≤ 90°, low angle first:
d 4.400, 2θ = 20.18°, intensity 62, (0 1 2); d 2.300, 2θ = 39.17°, intensity 51, (2 0 2); d 2.293, 2θ = 39.30°, intensity 100, (1 1 6); d 2.278, 2θ = 39.56°, intensity 50, (1 0 10); d 2.200, 2θ = 41.03°, intensity 96, (0 2 4); d 2.174, 2θ = 41.53°, intensity 30, (0 0 12); d 1.899, 2θ = 47.89°, intensity 33, (2 0 8); d 1.463, 2θ = 63.61°, intensity 23, (2 1 10); d 1.349, 2θ = 69.70°, intensity 28, (2 2 0); d 1.337, 2θ = 70.41°, intensity 27, (0 2 16)

Crystal structure
a b c (Å): 5.3963 5.3963 26.0908
angles (deg): 90.00 90.00 120.00
Space group R3m (No. 160, hexagonal axes)
Unique sites:
Na (0.0000, 0.0000, 0.0000) x3
Na (0.0000, 0.0000, 0.1262) x3
Na (0.0000, 0.0000, 0.5023) x3
Zn (0.0000, 0.0000, 0.3138) x3
Zn (0.0000, 0.0000, 0.8131) x3
Zn (0.0019, 0.5009, 0.5649) x9
Zn (0.1674, 0.3347, 0.3954) x9
Ga (0.0000, 0.0000, 0.6255) x3

---

# 6
Diffraction record for Na3ZnGa8. The X-ray diffraction stick pattern is simulated, not measured: it uses the GGA-PBE geometry in Alexandria and Cu Kα (λ = 1.5418 Å).
Intensities are scaled so that the largest is 100.

Top 10 peaks for 15° ≤ 2θ ≤ 90°, low angle first:
d 4.568, 2θ = 19.43°, intensity 65, (0 1 2); d 2.389, 2θ = 37.65°, intensity 48, (2 0 2); d 2.379, 2θ = 37.81°, intensity 100, (1 1 6); d 2.360, 2θ = 38.14°, intensity 41, (1 0 10); d 2.284, 2θ = 39.45°, intensity 90, (0 2 4); d 2.250, 2θ = 40.07°, intensity 33, (0 0 12); d 1.971, 2θ = 46.06°, intensity 35, (2 0 8); d 1.401, 2θ = 66.75°, intensity 29, (2 2 0); d 1.386, 2θ = 67.61°, intensity 26, (0 2 16); d 1.190, 2θ = 80.79°, intensity 29, (2 2 12)

Crystal structure
a b c (Å): 5.6057 5.6057 27.0022
angles (deg): 90.00 90.00 120.00
Space group R3m (No. 160, hexagonal axes)
Unique sites:
Na (0.0000, 0.0000, 0.0000) x3
Na (0.0000, 0.0000, 0.1249) x3
Na (0.0000, 0.0000, 0.6211) x3
Zn (0.0000, 0.0000, 0.4919) x3
Ga (0.0000, 0.0000, 0.3137) x3
Ga (0.0000, 0.0000, 0.8113) x3
Ga (0.1670, 0.3341, 0.3966) x9
Ga (0.1669, 0.3338, 0.8938) x9

---

# 7
Diffraction record for Na2Zn4Ga5. The X-ray diffraction stick pattern is simulated, not measured: it uses the GGA-PBE geometry in Alexandria and Cu Kα (λ = 1.5418 Å).
Intensities are scaled so that the largest is 100.

Top 10 peaks for 15° ≤ 2θ ≤ 90°, low angle first:
d 4.644, 2θ = 19.11°, intensity 46, (1 0 1); d 4.525, 2θ = 19.62°, intensity 31, (0 0 2); d 2.842, 2θ = 31.47°, intensity 79, (0 1 3); d 2.635, 2θ = 34.03°, intensity 32, (1 0 3); d 2.479, 2θ = 36.24°, intensity 63, (2 1 1); d 2.281, 2θ = 39.51°, intensity 100, (2 2 0); d 2.238, 2θ = 40.29°, intensity 99, (1 2 3); d 2.121, 2θ = 42.62°, intensity 56, (0 4 0); d 2.063, 2θ = 43.88°, intensity 44, (0 3 3); d 2.037, 2θ = 44.48°, intensity 53, (2 2 2)

Crystal structure
a b c (Å): 5.410 8.485 9.050
angles (deg): 90.00 90.00 90.00
Space group Immm (No. 71)
Unique sites:
Na (0.000, 0.193, 0.000) x4
Zn (0.000, 0.268, 0.321) x8
Ga (0.000, 0.500, 0.500) x2
Ga (0.246, 0.500, 0.157) x8

---

# 8
Diffraction record for Na16ZnGa12. The X-ray diffraction stick pattern is simulated, not measured: it uses the GGA-PBE geometry in Alexandria and Cu Kα (λ = 1.5418 Å).
Intensities are scaled so that the largest is 100.

Top 10 peaks for 15° ≤ 2θ ≤ 90°, low angle first:
d 4.611, 2θ = 19.25°, intensity 74, (2 0 0); d 4.538, 2θ = 19.56°, intensity 54, (1 3 0); d 4.495, 2θ = 19.75°, intensity 63, (1 3 -1); d 2.640, 2θ = 33.96°, intensity 60, (4 0 -1); d 2.622, 2θ = 34.20°, intensity 57, (1 5 1); d 2.601, 2θ = 34.49°, intensity 64, (4 2 -2); d 2.592, 2θ = 34.61°, intensity 100, (1 5 -2); d 2.417, 2θ = 37.19°, intensity 47, (3 1 1); d 2.365, 2θ = 38.04°, intensity 45, (3 5 -1); d 2.344, 2θ = 38.41°, intensity 48, (3 5 -2)

Crystal structure
a b c (Å): 11.042 15.629 9.389
angles (deg): 90.00 123.23 90.00
Space group Cm (No. 8)
Unique sites:
Na (0.000, 0.000, 0.000) x2
Na (0.010, 0.000, 0.646) x2
Na (0.066, 0.349, 0.048) x4
Na (0.137, 0.500, 0.313) x2
Na (0.157, 0.164, 0.232) x4
Na (0.185, 0.177, 0.639) x4
Na (0.198, 0.500, 0.936) x2
Na (0.300, 0.294, 0.961) x4
Na (0.457, 0.122, 0.628) x4
Na (0.491, 0.192, 0.341) x4
Zn (0.323, 0.000, 0.277) x2
Ga (0.006, 0.184, 0.821) x4
Ga (0.177, 0.000, 0.445) x2
Ga (0.252, 0.410, 0.660) x4
Ga (0.269, 0.091, 0.002) x4
Ga (0.333, 0.323, 0.474) x4
Ga (0.360, 0.000, 0.828) x2
Ga (0.417, 0.410, 0.290) x4

---

# 9
Diffraction record for Na17ZnGa11. The X-ray diffraction stick pattern is simulated, not measured: it uses the GGA-PBE geometry in Alexandria and Cu Kα (λ = 1.5418 Å).
Intensities are scaled so that the largest is 100.

Top 10 peaks for 15° ≤ 2θ ≤ 90°, low angle first:
d 4.551, 2θ = 19.51°, intensity 95, (2 2 -1); d 2.630, 2θ = 34.09°, intensity 100, (1 5 -2); d 2.621, 2θ = 34.21°, intensity 38, (4 0 -1); d 2.616, 2θ = 34.28°, intensity 12, (4 0 -3); d 2.382, 2θ = 37.76°, intensity 30, (2 0 2); d 2.374, 2θ = 37.91°, intensity 90, (3 5 -1); d 2.189, 2θ = 41.24°, intensity 19, (1 1 -4); d 2.186, 2θ = 41.31°, intensity 12, (1 5 -3); d 1.518, 2θ = 61.04°, intensity 19, (2 6 -5); d 1.513, 2θ = 61.25°, intensity 12, (7 1 -2)

Crystal structure
a b c (Å): 11.108 15.770 9.634
angles (deg): 90.00 124.93 90.00
Space group Cm (No. 8)
Unique sites:
Na (0.000, 0.000, 0.000) x2
Na (0.002, 0.000, 0.654) x2
Na (0.012, 0.297, 0.314) x4
Na (0.045, 0.359, 0.002) x4
Na (0.092, 0.500, 0.285) x2
Na (0.202, 0.203, 0.689) x4
Na (0.312, 0.000, 0.722) x2
Na (0.322, 0.323, 0.000) x4
Na (0.342, 0.345, 0.410) x4
Na (0.347, 0.000, 0.351) x2
Na (0.438, 0.156, 0.596) x4
Zn (0.326, 0.500, 0.165) x2
Ga (0.004, 0.177, 0.830) x4
Ga (0.086, 0.086, 0.357) x4
Ga (0.143, 0.500, 0.822) x2
Ga (0.171, 0.178, 0.178) x4
Ga (0.235, 0.411, 0.650) x4
Ga (0.265, 0.088, 0.003) x4

---

# 10
Diffraction record for NaZnGa3. The X-ray diffraction stick pattern is simulated, not measured: it uses the GGA-PBE geometry in Alexandria and Cu Kα (λ = 1.5418 Å).
Intensities are scaled so that the largest is 100.

Top 10 peaks for 15° ≤ 2θ ≤ 90°, low angle first:
d 3.854, 2θ = 23.08°, intensity 71, (1 1 1); d 2.834, 2θ = 31.57°, intensity 28, (1 1 3); d 2.595, 2θ = 34.57°, intensity 67, (0 2 2); d 2.587, 2θ = 34.67°, intensity 66, (2 0 2); d 2.064, 2θ = 43.87°, intensity 100, (2 0 4); d 2.046, 2θ = 44.28°, intensity 43, (1 1 5); d 2.038, 2θ = 44.45°, intensity 76, (2 2 0); d 1.445, 2θ = 64.51°, intensity 25, (0 4 0); d 1.417, 2θ = 65.93°, intensity 22, (2 2 6); d 1.094, 2θ = 89.61°, intensity 18, (2 0 10)

Crystal structure
a b c (Å): 5.754 5.776 11.825
angles (deg): 90.00 90.00 90.00
Space group Fmm2 (No. 42)
Unique sites:
Na (0.000, 0.000, 0.000) x4
Zn (0.000, 0.000, 0.398) x4
Ga (0.000, 0.000, 0.609) x4
Ga (0.250, 0.250, 0.255) x8

---

# 11
Diffraction record for NaZn6Ga2. The X-ray diffraction stick pattern is simulated, not measured: it uses the GGA-PBE geometry in Alexandria and Cu Kα (λ = 1.5418 Å).
Intensities are scaled so that the largest is 100.

Top 10 peaks for 15° ≤ 2θ ≤ 90°, low angle first:
d 4.004, 2θ = 22.20°, intensity 18, (1 0 0); d 2.447, 2θ = 36.73°, intensity 96, (1 1 2); d 2.132, 2θ = 42.39°, intensity 100, (1 1 3); d 2.002, 2θ = 45.29°, intensity 65, (2 0 0); d 1.944, 2θ = 46.72°, intensity 19, (0 0 5); d 1.416, 2θ = 65.98°, intensity 20, (2 2 0); d 1.395, 2θ = 67.11°, intensity 24, (2 0 5); d 1.225, 2θ = 77.97°, intensity 19, (3 1 2); d 1.179, 2θ = 81.63°, intensity 27, (3 1 3); d 1.117, 2θ = 87.32°, intensity 15, (1 1 8)

Crystal structure
a b c (Å): 4.004 4.004 9.721
angles (deg): 90.00 90.00 90.00
Space group P4/mmm (No. 123)
Unique sites:
Na (0.000, 0.000, 0.000) x1
Zn (0.000, 0.000, 0.500) x1
Zn (0.000, 0.500, 0.303) x4
Zn (0.500, 0.500, 0.500) x1
Ga (0.500, 0.500, 0.132) x2

---

# 12
Diffraction record for NaZn4Ga12. The X-ray diffraction stick pattern is simulated, not measured: it uses the GGA-PBE geometry in Alexandria and Cu Kα (λ = 1.5418 Å).
Intensities are scaled so that the largest is 100.

Top 10 peaks for 15° ≤ 2θ ≤ 90°, low angle first:
d 4.442, 2θ = 19.99°, intensity 7, (2 0 0); d 2.810, 2θ = 31.85°, intensity 100, (3 1 0); d 2.374, 2θ = 37.89°, intensity 27, (3 2 1); d 1.987, 2θ = 45.67°, intensity 40, (4 2 0); d 1.894, 2θ = 48.03°, intensity 8, (3 3 2); d 1.814, 2θ = 50.31°, intensity 26, (4 2 2); d 1.742, 2θ = 52.52°, intensity 36, (4 1 3); d 1.310, 2θ = 72.10°, intensity 12, (6 3 1); d 1.282, 2θ = 73.91°, intensity 9, (4 4 4); d 1.167, 2θ = 82.73°, intensity 10, (7 0 3)

Crystal structure
a b c (Å): 8.885 8.885 8.885
angles (deg): 90.00 90.00 90.00
Space group Im-3 (No. 204)
Unique sites:
Na (0.000, 0.000, 0.000) x2
Zn (0.250, 0.250, 0.250) x8
Ga (0.000, 0.152, 0.352) x24

---

Which formula does entry 1 have?
NaVGa2